Structure and theoretical PXRD pattern of LiMnF3 (a DFT-relaxed cell (PBE+U, the Materials Project); Cu Kα, 1.54184 Å).
No peak broadening, texture or thermal motion is included.

Crystal structure
a b c (Å): 6.5783 6.7634 8.9264
angles (deg): 90.57 107.66 98.92
Space group P-1 (No. 2)
Asymmetric unit:
Li (0.0232, 0.3976, 0.3001) x2
Li (0.2218, 0.8038, 0.0179) x2
Li (0.3478, 0.9390, 0.7376) x2
Mn (0.2118, 0.8619, 0.4065) x2
Mn (0.2726, 0.2996, 0.9983) x2
Mn (0.4206, 0.4272, 0.6648) x2
F (0.0437, 0.3356, 0.1056) x2
F (0.0785, 0.8096, 0.5854) x2
F (0.1393, 0.3803, 0.7382) x2
F (0.1689, 0.9150, 0.1862) x2
F (0.2912, 0.0254, 0.9096) x2
F (0.2957, 0.5477, 0.4294) x2
F (0.4143, 0.1187, 0.5838) x2
F (0.4202, 0.6191, 0.0875) x2
F (0.4957, 0.7211, 0.7661) x2

Peak list (8 most intense, 5 to 70 degrees two-theta, sorted by position)
(hkl), 2theta, I_rel
0 1 -1, 16.40, 37
-1 1 1, 18.79, 44
1 1 1, 25.89, 100
1 -2 0, 28.21, 74
2 0 -2, 30.06, 45
1 -1 3, 39.74, 43
3 0 -2, 42.44, 49
0 3 1, 42.66, 72

=====

Structure and theoretical PXRD pattern of LiMnF3 (a DFT-relaxed cell (PBE+U, the Materials Project); Cu Kα, 1.54184 Å).
No peak broadening, texture or thermal motion is included.

Crystal structure
a b c (Å): 5.4130 5.4130 9.8613
angles (deg): 90.00 90.00 120.00
Space group P-31c (No. 163)
Asymmetric unit:
Li (0.3333, 0.6667, 0.0672) x4
Mn (0.0000, 0.0000, 0.2500) x2
Mn (0.3333, 0.6667, 0.7500) x2
F (0.0072, 0.3395, 0.6301) x12

Peak list (8 most intense, 5 to 70 degrees two-theta, sorted by position)
(hkl), 2theta, I_rel
0 0 2, 17.99, 73
1 0 1, 20.98, 52
1 1 0, 33.10, 14
1 0 3, 33.29, 22
1 1 2, 37.92, 100
1 1 4, 50.05, 57
3 0 0, 59.12, 31
2 -1 6, 66.57, 20

=====

Structure and theoretical PXRD pattern of LiMnF3 (a DFT-relaxed cell (PBE+U, the Materials Project); Cu Kα, 1.54184 Å).
No peak broadening, texture or thermal motion is included.

Crystal structure
a b c (Å): 7.1301 7.2745 7.9667
angles (deg): 84.86 76.86 89.96
Space group P-1 (No. 2)
Asymmetric unit:
Li (0.0737, 0.2455, 0.1698) x2
Li (0.2628, 0.4518, 0.4168) x2
Li (0.4116, 0.7621, 0.8249) x2
Mn (0.0779, 0.7488, 0.2109) x2
Mn (0.2379, 0.9587, 0.5412) x2
Mn (0.4359, 0.2622, 0.7674) x2
F (0.0902, 0.0100, 0.3224) x2
F (0.0983, 0.4670, 0.2610) x2
F (0.1514, 0.2364, 0.9285) x2
F (0.1782, 0.8116, 0.7844) x2
F (0.2229, 0.2504, 0.5887) x2
F (0.2665, 0.7084, 0.4221) x2
F (0.3718, 0.7813, 0.0644) x2
F (0.4873, 0.5446, 0.7265) x2
F (0.4993, 0.0077, 0.3290) x2

Peak list (8 most intense, 5 to 70 degrees two-theta, sorted by position)
(hkl), 2theta, I_rel
0 0 1, 11.45, 29
0 1 0, 12.22, 28
0 1 -1, 17.54, 100
0 2 1, 26.20, 22
2 0 2, 30.44, 31
2 0 -1, 30.55, 30
0 3 1, 38.01, 34
4 0 1, 51.24, 24

=====

Structure and theoretical PXRD pattern of Li3MnF6 (a DFT-relaxed cell (PBE+U, the Materials Project); Cu Kα, 1.54184 Å).
No peak broadening, texture or thermal motion is included.

Crystal structure
a b c (Å): 8.7131 5.5739 9.8069
angles (deg): 90.00 99.93 90.00
Space group P2_1/c (No. 14)
Asymmetric unit:
Li (0.0748, 0.0834, 0.3630) x4
Li (0.2581, 0.6370, 0.3558) x4
Li (0.3760, 0.0105, 0.1803) x4
Mn (0.0000, 0.0000, 0.0000) x2
Mn (0.5000, 0.0000, 0.5000) x2
F (0.0629, 0.0241, 0.7980) x4
F (0.0833, 0.6901, 0.0197) x4
F (0.2053, 0.1215, 0.0438) x4
F (0.2781, 0.5132, 0.8416) x4
F (0.4228, 0.6389, 0.1504) x4
F (0.4904, 0.6883, 0.4211) x4

Peak list (8 most intense, 5 to 70 degrees two-theta, sorted by position)
(hkl), 2theta, I_rel
0 0 2, 18.37, 66
1 1 -1, 20.31, 100
2 0 0, 20.70, 59
1 1 1, 21.89, 41
2 0 2, 30.15, 19
3 1 1, 37.90, 30
2 0 -4, 39.54, 20
4 0 2, 49.34, 20

=====

Structure and theoretical PXRD pattern of Li4MnF7 (a DFT-relaxed cell (PBE+U, the Materials Project); Cu Kα, 1.54184 Å).
No peak broadening, texture or thermal motion is included.

Crystal structure
a b c (Å): 12.4988 8.9633 5.4140
angles (deg): 90.00 103.61 90.00
Space group C2/c (No. 15)
Asymmetric unit:
Li (0.1367, 0.0572, 0.2419) x8
Li (0.1483, 0.4094, 0.3304) x8
Mn (0.0000, 0.2604, 0.7500) x4
F (0.0000, 0.0486, 0.7500) x4
F (0.0887, 0.2521, 0.0812) x8
F (0.0961, 0.4094, 0.6424) x8
F (0.2011, 0.0845, 0.5790) x8

Peak list (8 most intense, 5 to 70 degrees two-theta, sorted by position)
(hkl), 2theta, I_rel
2 0 0, 14.58, 100
1 1 -1, 19.44, 47
1 1 1, 22.26, 62
2 2 0, 24.69, 54
3 1 -1, 26.36, 80
1 3 -1, 34.45, 24
5 1 -1, 38.34, 46
2 0 2, 40.44, 36

=====

Structure and theoretical PXRD pattern of LiMn2F5 (a DFT-relaxed cell (PBE+U, the Materials Project); Cu Kα, 1.54184 Å).
No peak broadening, texture or thermal motion is included.

Crystal structure
a b c (Å): 12.4235 5.2141 5.4905
angles (deg): 90.00 93.37 90.00
Space group C2/c (No. 15)
Asymmetric unit:
Li (0.2500, 0.2500, 0.0000) x4
Mn (0.1011, 0.2333, 0.5515) x8
F (0.0000, 0.0534, 0.2500) x4
F (0.0946, 0.3891, 0.9105) x8
F (0.2135, 0.0699, 0.3191) x8

Peak list (8 most intense, 5 to 70 degrees two-theta, sorted by position)
(hkl), 2theta, I_rel
1 1 1, 24.92, 100
4 0 0, 28.79, 26
3 1 -1, 31.42, 64
3 1 1, 32.73, 48
4 0 2, 45.45, 63
0 2 2, 48.18, 32
1 1 3, 54.11, 22
3 3 -1, 59.76, 25

=====

Structure and theoretical PXRD pattern of LiMnF3 (a DFT-relaxed cell (PBE+U, the Materials Project); Cu Kα, 1.54184 Å).
No peak broadening, texture or thermal motion is included.

Crystal structure
a b c (Å): 5.4620 10.7940 5.4777
angles (deg): 90.00 90.00 90.00
Space group Cmc2_1 (No. 36)
Asymmetric unit:
Li (0.0000, 0.0634, 0.0000) x4
Mn (0.0000, 0.4123, 0.0006) x4
F (0.0000, 0.2316, 0.9875) x4
F (0.2487, 0.4994, 0.7495) x8

Peak list (8 most intense, 5 to 70 degrees two-theta, sorted by position)
(hkl), 2theta, I_rel
0 2 0, 16.42, 63
1 1 0, 18.20, 64
0 2 1, 23.14, 37
1 1 1, 24.45, 100
1 3 1, 34.03, 27
1 1 2, 37.67, 19
2 0 2, 46.99, 40
2 6 0, 61.73, 31